# Li2VO2F
Calculated X-ray diffraction stick pattern, copper Kα. Input: a crystal structure in Alexandria, relaxed with PBE+U.
Kinematic intensities with the Lorentz-polarization factor, no thermal factor.

Peak list (8 most intense, 5 to 70 degrees two-theta, in order of rising 2θ)
| 2θ/deg | I_rel |
| --- | --- |
| 11.95 | 100.0 |
| 24.03 | 30.5 |
| 34.34 | 13.6 |
| 34.73 | 9.8 |
| 41.73 | 45.4 |
| 43.89 | 20.5 |
| 62.01 | 11.5 |
| 62.31 | 10.4 |

Cell and atoms:
```
data_Li2VO2F
_cell_length_a 15.4307
_cell_length_b 3.0266
_cell_length_c 10.3483
_cell_angle_alpha 90.00
_cell_angle_beta 106.23
_cell_angle_gamma 90.00
_space_group_name_H-M_alt 'C 1 m 1'
_space_group_IT_number 8
_space_group_name_Hall 'C -2y'
loop_
_atom_site_label
_atom_site_type_symbol
_atom_site_fract_x
_atom_site_fract_y
_atom_site_fract_z
Li1 Li 0.0000 0.0000 0.0000
Li2 Li 0.9995 0.0000 0.4796
Li3 Li 0.0123 0.5000 0.7586
Li4 Li 0.3453 0.0000 0.0169
Li5 Li 0.3504 0.5000 0.7669
Li6 Li 0.3654 0.5000 0.2934
Li7 Li 0.3760 0.0000 0.5329
Li8 Li 0.4898 0.0000 0.2523
V1 V 0.1657 0.0000 0.2451
V2 V 0.1748 0.5000 0.0073
V3 V 0.1815 0.0000 0.7641
V4 V 0.1809 0.5000 0.5181
O1 O 0.0941 0.5000 0.1408
O2 O 0.1004 0.0000 0.8921
O3 O 0.1097 0.5000 0.6516
O4 O 0.1149 0.0000 0.4008
O5 O 0.2446 0.0000 0.1233
O6 O 0.2561 0.5000 0.8818
O7 O 0.2598 0.0000 0.6288
O8 O 0.4293 0.0000 0.3889
F1 F 0.2516 0.5000 0.3649
F2 F 0.4239 0.5000 0.1271
F3 F 0.4276 0.0000 0.8873
F4 F 0.4331 0.5000 0.6512
```



# Li2VO2F2
Calculated X-ray diffraction stick pattern, copper Kα. Input: a crystal structure in Alexandria, relaxed with PBE+U.
Kinematic intensities with the Lorentz-polarization factor, no thermal factor.

Peak list (8 most intense, 5 to 70 degrees two-theta, in order of rising 2θ)
| 2θ/deg | I_rel |
| --- | --- |
| 18.18 | 100.0 |
| 20.55 | 18.0 |
| 30.23 | 14.1 |
| 34.63 | 13.2 |
| 36.33 | 24.2 |
| 41.80 | 21.5 |
| 43.98 | 36.0 |
| 62.29 | 23.6 |

Cell and atoms:
```
data_Li2VO2F2
_cell_length_a 5.7371
_cell_length_b 5.9129
_cell_length_c 8.6434
_cell_angle_alpha 90.00
_cell_angle_beta 90.00
_cell_angle_gamma 90.00
_space_group_name_H-M_alt 'I m m a'
_space_group_IT_number 74
_space_group_name_Hall '-I 2b 2'
loop_
_atom_site_label
_atom_site_type_symbol
_atom_site_fract_x
_atom_site_fract_y
_atom_site_fract_z
Li1 Li 0.0000 0.0000 0.0000
Li2 Li 0.0000 0.2500 0.3718
V1 V 0.2500 0.2500 0.7500
O1 O 0.0000 0.0350 0.7529
F1 F 0.2405 0.2500 0.9842
```